# LiMn2P2HO8
Calculated PXRD pattern, Cu Kα (weighted mean of Kα1 and Kα2). Input: a PBE+U-relaxed structure.

Structure:
```
data_LiMn2P2HO8
_chemical_formula_sum 'Li2 Mn4 P4 H2 O16'
_symmetry_space_group_name_H-M 'P 1'
_symmetry_Int_Tables_number 1
_symmetry_space_group_name_Hall 'P 1'
_cell_length_a 4.9971
_cell_length_b 9.0318
_cell_length_c 7.7972
_cell_angle_alpha 90.00
_cell_angle_beta 105.01
_cell_angle_gamma 90.00
loop_
_atom_site_label
_atom_site_type_symbol
_atom_site_fract_x
_atom_site_fract_y
_atom_site_fract_z
Li1 Li 0.2373 0.0000 0.3001
Li2 Li 0.7627 0.5000 0.6999
Mn1 Mn 0.1333 0.6965 0.0488
Mn2 Mn 0.3461 0.3625 0.3781
Mn3 Mn 0.6539 0.8625 0.6219
Mn4 Mn 0.8667 0.1965 0.9512
P1 P 0.1113 0.6689 0.4706
P2 P 0.3724 0.4165 0.0132
P3 P 0.6276 0.9165 0.9868
P4 P 0.8887 0.1689 0.5294
H1 H 0.2462 0.0819 0.7678
H2 H 0.7538 0.5819 0.2322
O1 O 0.0405 0.1282 0.7346
O2 O 0.1122 0.1815 0.4276
O3 O 0.1300 0.5032 0.8919
O4 O 0.2573 0.8175 0.4593
O5 O 0.2590 0.2797 0.0981
O6 O 0.3191 0.5438 0.5398
O7 O 0.4039 0.8726 0.0793
O8 O 0.4886 0.5211 0.1795
O9 O 0.5114 0.0211 0.8205
O10 O 0.5961 0.3726 0.9207
O11 O 0.6809 0.0438 0.4602
O12 O 0.7410 0.7797 0.9019
O13 O 0.7427 0.3175 0.5407
O14 O 0.8700 0.0032 0.1081
O15 O 0.8878 0.6815 0.5724
O16 O 0.9595 0.6282 0.2654
```

Principal peaks in the range 2θ = 10–80°, sorted by position:
2theta	Rel. int.
15.32	26
19.10	19
20.87	56
23.63	62
25.63	23
27.04	100
27.82	28
32.78	37
38.62	19
49.40	28